No. 1
Calculated XRD peak list
Compound: PuZnOs
Radiation: λ = 1.5418 Å (Cu Kα)
Structure: a crystal structure in Alexandria, relaxed with PBE
Peak positions follow from Bragg's law for the DFT cell and can differ from measured ones.

Most intense lines, 10 to 90 degrees two-theta, most intense first:
Position (°2θ)  d_spacing  I (rel.)
38.8  2.323  100
33.6  2.670  68
39.5  2.283  57
42.0  2.150  41
70.5  1.335  35
39.6  2.275  32
57.8  1.595  31
36.8  2.440  30
19.5  4.549  24
67.6  1.385  20

Cell and atoms:
Unit cell a=5.3726 b=5.3726 c=5.3726 alpha=125.98 beta=116.94 gamma=87.68
Atoms (fractional coordinates):
Pu1 0.3834 0.1334 0.2500
Pu2 0.6166 0.8666 0.7500
Zn1 0.0000 0.0000 0.5000
Zn2 0.0000 0.5000 0.0000
Os1 0.0000 0.5000 0.5000
Os2 0.5000 0.5000 0.0000

No. 2
Calculated XRD peak list
Compound: PuZrZnOs
Radiation: λ = 1.5418 Å (Cu Kα)
Structure: a crystal structure in Alexandria, relaxed with PBE
Peak positions follow from Bragg's law for the DFT cell and can differ from measured ones.

Most intense lines, 10 to 90 degrees two-theta, most intense first:
Position (°2θ)  d_spacing  I (rel.)
37.5  2.396  100
67.7  1.383  36
22.7  3.913  22
54.1  1.694  18
44.3  2.043  12
80.1  1.198  11
59.5  1.555  5
84.6  1.146  4
72.5  1.304  4
26.3  3.389  2

Cell and atoms:
Unit cell a=4.7921 b=4.7921 c=4.7921 alpha=60.00 beta=60.00 gamma=60.00
Atoms (fractional coordinates):
Pu1 0.0000 0.0000 0.0000
Zr1 0.5000 0.5000 0.5000
Zn1 0.7500 0.7500 0.7500
Os1 0.2500 0.2500 0.2500

Copy entry 1 word for word.
Calculated XRD peak list
Compound: PuZnOs
Radiation: λ = 1.5418 Å (Cu Kα)
Structure: a crystal structure in Alexandria, relaxed with PBE
Peak positions follow from Bragg's law for the DFT cell and can differ from measured ones.

Most intense lines, 10 to 90 degrees two-theta, most intense first:
Position (°2θ)  d_spacing  I (rel.)
38.8  2.323  100
33.6  2.670  68
39.5  2.283  57
42.0  2.150  41
70.5  1.335  35
39.6  2.275  32
57.8  1.595  31
36.8  2.440  30
19.5  4.549  24
67.6  1.385  20

Cell and atoms:
Unit cell a=5.3726 b=5.3726 c=5.3726 alpha=125.98 beta=116.94 gamma=87.68
Atoms (fractional coordinates):
Pu1 0.3834 0.1334 0.2500
Pu2 0.6166 0.8666 0.7500
Zn1 0.0000 0.0000 0.5000
Zn2 0.0000 0.5000 0.0000
Os1 0.0000 0.5000 0.5000
Os2 0.5000 0.5000 0.0000

Q: What is the formula in the first record?
A: PuZnOs

Q: Number 2 is which compound?
A: PuZrZnOs